For Li4Ge2As, a structure optimized by DFT (GGA-PBE) gives the theoretical X-ray powder pattern in this record (a wavelength of 1.5418 Å).

Top 10 peaks for 10° ≤ 2θ ≤ 90°, sorted by position:
two_theta  I/Imax  (hkl)
14.16  67  0 0 2
25.36  100  1 1 0
27.93  33  1 0 3
29.16  34  1 1 2
36.17  47  2 0 0
39.02  21  2 0 2
40.36  62  1 0 5
55.30  49  2 1 5
58.79  19  3 1 0
79.41  17  3 2 5

```
Li4Ge2As
1.0
4.9670 0.0000 0.0000
0.0000 4.9670 0.0000
0.0000 0.0000 12.5113
Li Ge As
8 4 2
Direct
0.0000 0.0000 0.1975 Li
0.0000 0.0000 0.8025 Li
0.0000 0.5000 0.0000 Li
0.0000 0.5000 0.5000 Li
0.5000 0.0000 0.0000 Li
0.5000 0.0000 0.5000 Li
0.5000 0.5000 0.3025 Li
0.5000 0.5000 0.6975 Li
0.0000 0.0000 0.4036 Ge
0.0000 0.0000 0.5964 Ge
0.5000 0.5000 0.0964 Ge
0.5000 0.5000 0.9036 Ge
0.0000 0.0000 0.0000 As
0.5000 0.5000 0.5000 As
```